No. 1
Structure and computed X-ray powder pattern of NdHo2Fe9 (a structure optimized by DFT (PBE); Cu Kα (weighted mean of Kα1 and Kα2)).
Kinematic intensities with the Lorentz-polarization factor, no thermal factor.

Crystal structure
Cell lengths 8.6030, 8.6030, 8.6030 Å; angles 34.64, 34.64, 34.64 degrees
Fractional coordinates of all 12 atoms:
1 Nd 0.0000 0.0000 0.0000
2 Ho 0.1423 0.1423 0.1423
3 Ho 0.8577 0.8577 0.8577
4 Fe 0.0834 0.5822 0.5822
5 Fe 0.3327 0.3327 0.3327
6 Fe 0.4178 0.4178 0.9166
7 Fe 0.4178 0.9166 0.4178
8 Fe 0.5000 0.5000 0.5000
9 Fe 0.5822 0.0834 0.5822
10 Fe 0.5822 0.5822 0.0834
11 Fe 0.6673 0.6673 0.6673
12 Fe 0.9166 0.4178 0.4178

Principal peaks in the range 10 to 80 degrees two-theta, by angle:
Position (°2θ)	I/Imax
32.81	51
35.04	57
35.90	32
40.86	38
41.76	100
44.91	24
45.99	13
61.45	17
67.45	23
74.04	21

No. 2
Structure and computed X-ray powder pattern of HoFeNi4 (a structure optimized by DFT (PBE); Cu Kα (weighted mean of Kα1 and Kα2)).
Kinematic intensities with the Lorentz-polarization factor, no thermal factor.

Crystal structure
Cell lengths 4.9337, 4.9337, 3.9299 Å; angles 90.00, 90.00, 120.00 degrees
Fractional coordinates of all 6 atoms:
1 Ho 0.0000 0.0000 0.0000
2 Fe 0.3333 0.6667 0.0000
3 Ni 0.5005 0.0009 0.5000
4 Ni 0.5005 0.4995 0.5000
5 Ni 0.6667 0.3333 0.0000
6 Ni 0.9991 0.4995 0.5000

Principal peaks in the range 10 to 80 degrees two-theta, by angle:
Position (°2θ)	I/Imax
30.92	56
36.42	33
42.31	38
43.31	100
46.20	26
60.21	15
62.14	16
64.42	21
70.30	22
77.37	16